No. 1
Starting from a crystal structure in Alexandria, relaxed with GGA-PBE, the XRD peak list of Fe2Co was computed for λ = 1.5418 Å (Cu Kα).

Most intense lines, 2θ from 15° to 90°, most intense first:
- d 2.007, 2θ = 45.17°, I 100
- d 1.159, 2θ = 83.42°, I 23
- d 2.012, 2θ = 45.06°, I 20
- d 1.421, 2θ = 65.73°, I 12
- d 1.161, 2θ = 83.24°, I 12
- d 1.418, 2θ = 65.85°, I 6

Cell and atoms:
Cell: 2.837 4.024 12.038 Å, 90.00 90.00 90.00°
Fractional positions:
Fe1 0.000 0.000 0.166
Fe2 0.000 0.000 0.834
Fe3 0.000 0.500 0.334
Fe4 0.000 0.500 0.666
Fe5 0.500 0.000 0.334
Fe6 0.500 0.000 0.666
Fe7 0.500 0.500 0.166
Fe8 0.500 0.500 0.834
Co1 0.000 0.000 0.500
Co2 0.000 0.500 0.000
Co3 0.500 0.000 0.000
Co4 0.500 0.500 0.500


No. 2
Starting from a crystal structure in Alexandria, relaxed with GGA-PBE, the XRD peak list of LiSb2Se3 was computed for λ = 1.5418 Å (Cu Kα).

Most intense lines, 2θ from 15° to 90°, most intense first:
- d 2.899, 2θ = 30.85°, I 100
- d 2.084, 2θ = 43.43°, I 77
- d 2.998, 2θ = 29.80°, I 55
- d 5.377, 2θ = 16.49°, I 25
- d 1.706, 2θ = 53.73°, I 20
- d 1.678, 2θ = 54.69°, I 19

Cell and atoms:
Cell: 4.150 5.995 12.154 Å, 90.00 90.00 90.00°
Fractional positions:
Li1 0.000 0.000 0.000
Li2 0.500 0.500 0.500
Sb1 0.000 0.000 0.331
Sb2 0.000 0.000 0.669
Sb3 0.500 0.500 0.169
Sb4 0.500 0.500 0.831
Se1 0.000 0.500 0.000
Se2 0.000 0.500 0.331
Se3 0.000 0.500 0.669
Se4 0.500 0.000 0.169
Se5 0.500 0.000 0.500
Se6 0.500 0.000 0.831


No. 3
Starting from a crystal structure in Alexandria, relaxed with GGA-PBE, the XRD peak list of Ba2Cd9In3 was computed for λ = 1.5418 Å (Cu Kα).

Most intense lines, 2θ from 15° to 90°, most intense first:
- d 2.783, 2θ = 32.16°, I 100
- d 2.622, 2θ = 34.20°, I 57
- d 2.599, 2θ = 34.50°, I 42
- d 2.580, 2θ = 34.77°, I 23
- d 2.286, 2θ = 39.42°, I 18
- d 2.349, 2θ = 38.31°, I 15

Cell and atoms:
Cell: 9.036 9.036 10.587 Å, 90.00 90.00 60.50°
Fractional positions:
Ba1 0.002 0.675 0.750
Ba2 0.325 0.998 0.750
Ba3 0.675 0.002 0.250
Ba4 0.998 0.325 0.250
Cd1 0.022 0.658 0.093
Cd2 0.022 0.658 0.407
Cd3 0.148 0.852 0.250
Cd4 0.339 0.661 0.551
Cd5 0.339 0.661 0.949
Cd6 0.342 0.978 0.093
Cd7 0.342 0.978 0.407
Cd8 0.355 0.455 0.250
Cd9 0.455 0.355 0.750
Cd10 0.545 0.645 0.250
Cd11 0.645 0.545 0.750
Cd12 0.658 0.022 0.593
Cd13 0.658 0.022 0.907
Cd14 0.661 0.339 0.051
Cd15 0.661 0.339 0.449
Cd16 0.852 0.148 0.750
Cd17 0.978 0.342 0.593
Cd18 0.978 0.342 0.907
In1 0.000 0.000 0.000
In2 0.000 0.000 0.500
In3 0.313 0.313 0.000
In4 0.313 0.313 0.500
In5 0.687 0.687 0.000
In6 0.687 0.687 0.500


No. 4
Starting from a crystal structure in Alexandria, relaxed with GGA-PBE, the XRD peak list of BaCa2MnN4 was computed for λ = 1.5418 Å (Cu Kα).

Most intense lines, 2θ from 15° to 90°, most intense first:
- d 2.838, 2θ = 31.52°, I 100
- d 3.234, 2θ = 27.58°, I 79
- d 2.760, 2θ = 32.44°, I 72
- d 2.961, 2θ = 30.19°, I 68
- d 2.184, 2θ = 41.35°, I 49
- d 3.735, 2θ = 23.82°, I 38

Cell and atoms:
Cell: 7.564 6.239 5.921 Å, 90.00 90.00 90.00°
Fractional positions:
Ba1 0.000 0.106 0.000
Ba2 0.500 0.894 0.500
Ca1 0.236 0.350 0.511
Ca2 0.264 0.650 0.011
Ca3 0.736 0.650 0.011
Ca4 0.764 0.350 0.511
Mn1 0.000 0.806 0.519
Mn2 0.500 0.194 0.019
N1 0.000 0.090 0.509
N2 0.000 0.724 0.804
N3 0.187 0.703 0.387
N4 0.313 0.297 0.887
N5 0.500 0.276 0.304
N6 0.500 0.910 0.009
N7 0.687 0.297 0.887
N8 0.813 0.703 0.387


No. 5
Starting from a crystal structure in Alexandria, relaxed with GGA-PBE, the XRD peak list of ScHgSb was computed for λ = 1.5418 Å (Cu Kα).

Most intense lines, 2θ from 15° to 90°, most intense first:
- d 2.683, 2θ = 33.40°, I 100
- d 2.504, 2θ = 35.86°, I 80
- d 2.163, 2θ = 41.75°, I 54
- d 2.586, 2θ = 34.69°, I 44
- d 1.477, 2θ = 62.91°, I 31
- d 3.505, 2θ = 25.41°, I 29

Cell and atoms:
Cell: 7.033 5.911 5.560 Å, 75.56 54.48 49.96°
Fractional positions:
Sc1 0.000 0.000 0.000
Sc2 0.250 0.250 0.250
Hg1 0.326 0.674 0.326
Hg2 0.674 0.326 0.674
Sb1 0.575 0.925 0.575
Sb2 0.925 0.575 0.925


No. 6
Starting from a crystal structure in Alexandria, relaxed with GGA-PBE, the XRD peak list of SmN2Cl4 was computed for λ = 1.5418 Å (Cu Kα).

Most intense lines, 2θ from 15° to 90°, most intense first:
- d 2.413, 2θ = 37.27°, I 100
- d 4.135, 2θ = 21.49°, I 83
- d 2.342, 2θ = 38.43°, I 35
- d 1.944, 2θ = 46.72°, I 31
- d 3.288, 2θ = 27.12°, I 25
- d 3.637, 2θ = 24.48°, I 23

Cell and atoms:
Cell: 10.248 10.248 10.248 Å, 27.21 27.21 27.21°
Fractional positions:
Sm1 0.000 0.000 0.000
N1 0.217 0.217 0.217
N2 0.783 0.783 0.783
Cl1 0.094 0.094 0.094
Cl2 0.311 0.311 0.311
Cl3 0.689 0.689 0.689
Cl4 0.906 0.906 0.906


No. 7
Starting from a crystal structure in Alexandria, relaxed with GGA-PBE, the XRD peak list of Th3UN6 was computed for λ = 1.5418 Å (Cu Kα).

Most intense lines, 2θ from 15° to 90°, most intense first:
- d 3.179, 2θ = 28.07°, I 100
- d 2.880, 2θ = 31.05°, I 95
- d 3.097, 2θ = 28.82°, I 51
- d 3.508, 2θ = 25.39°, I 40
- d 1.906, 2θ = 47.70°, I 34
- d 3.924, 2θ = 22.66°, I 31

Cell and atoms:
Cell: 7.023 7.023 7.023 Å, 91.81 91.81 91.81°
Fractional positions:
Th1 0.055 0.751 0.560
Th2 0.249 0.440 0.945
Th3 0.440 0.945 0.249
Th4 0.560 0.055 0.751
Th5 0.751 0.560 0.055
Th6 0.945 0.249 0.440
U1 0.000 0.000 0.000
U2 0.500 0.500 0.500
N1 0.033 0.700 0.906
N2 0.094 0.967 0.300
N3 0.202 0.443 0.584
N4 0.300 0.094 0.967
N5 0.416 0.798 0.557
N6 0.443 0.584 0.202
N7 0.557 0.416 0.798
N8 0.584 0.202 0.443
N9 0.700 0.906 0.033
N10 0.798 0.557 0.416
N11 0.906 0.033 0.700
N12 0.967 0.300 0.094


No. 8
Starting from a crystal structure in Alexandria, relaxed with GGA-PBE, the XRD peak list of KCaTiF6 was computed for λ = 1.5418 Å (Cu Kα).

Most intense lines, 2θ from 15° to 90°, most intense first:
- d 3.174, 2θ = 28.11°, I 100
- d 1.847, 2θ = 49.35°, I 97
- d 3.128, 2θ = 28.54°, I 49
- d 3.036, 2θ = 29.42°, I 48
- d 3.020, 2θ = 29.58°, I 43
- d 2.024, 2θ = 44.78°, I 39

Cell and atoms:
Cell: 7.389 7.389 7.389 Å, 119.48 118.96 91.36°
Fractional positions:
K1 0.356 0.106 0.250
K2 0.644 0.894 0.750
Ca1 0.000 0.500 0.500
Ca2 0.500 0.500 0.000
Ti1 0.000 0.000 0.500
Ti2 0.000 0.500 0.000
F1 0.060 0.341 0.159
F2 0.060 0.901 0.719
F3 0.080 0.330 0.750
F4 0.318 0.099 0.659
F5 0.318 0.659 0.219
F6 0.365 0.615 0.750
F7 0.635 0.385 0.250
F8 0.682 0.341 0.781
F9 0.682 0.901 0.341
F10 0.920 0.670 0.250
F11 0.940 0.099 0.281
F12 0.940 0.659 0.841


No. 9
Starting from a crystal structure in Alexandria, relaxed with GGA-PBE, the XRD peak list of Li3Dy2Tl4 was computed for λ = 1.5418 Å (Cu Kα).

Most intense lines, 2θ from 15° to 90°, most intense first:
- d 2.513, 2θ = 35.73°, I 100
- d 2.721, 2θ = 32.91°, I 83
- d 2.809, 2θ = 31.86°, I 67
- d 3.585, 2θ = 24.84°, I 67
- d 2.532, 2θ = 35.45°, I 65
- d 3.611, 2θ = 24.66°, I 46

Cell and atoms:
Cell: 8.714 8.714 7.997 Å, 90.00 90.00 136.48°
Fractional positions:
Li1 0.000 0.000 0.000
Li2 0.022 0.478 0.250
Li3 0.478 0.022 0.750
Li4 0.500 0.500 0.500
Li5 0.522 0.978 0.250
Li6 0.978 0.522 0.750
Dy1 0.110 0.890 0.417
Dy2 0.390 0.610 0.917
Dy3 0.610 0.390 0.083
Dy4 0.890 0.110 0.583
Tl1 0.174 0.826 0.034
Tl2 0.198 0.302 0.250
Tl3 0.302 0.198 0.750
Tl4 0.326 0.674 0.534
Tl5 0.674 0.326 0.466
Tl6 0.698 0.802 0.250
Tl7 0.802 0.698 0.750
Tl8 0.826 0.174 0.966


No. 10
Starting from a crystal structure in Alexandria, relaxed with GGA-PBE, the XRD peak list of Rb2AlBr5 was computed for λ = 1.5418 Å (Cu Kα).

Most intense lines, 2θ from 15° to 90°, most intense first:
- d 3.087, 2θ = 28.93°, I 100
- d 2.792, 2θ = 32.06°, I 43
- d 1.852, 2θ = 49.19°, I 21
- d 1.663, 2θ = 55.24°, I 21
- d 2.475, 2θ = 36.29°, I 16
- d 1.974, 2θ = 45.98°, I 13

Cell and atoms:
Cell: 7.896 7.896 9.901 Å, 90.00 90.00 90.00°
Fractional positions:
Rb1 0.000 0.500 0.000
Rb2 0.000 0.500 0.500
Rb3 0.500 0.000 0.000
Rb4 0.500 0.000 0.500
Al1 0.000 0.000 0.205
Al2 0.500 0.500 0.705
Br1 0.000 0.000 0.968
Br2 0.218 0.218 0.258
Br3 0.218 0.782 0.258
Br4 0.282 0.282 0.758
Br5 0.282 0.718 0.758
Br6 0.500 0.500 0.468
Br7 0.718 0.282 0.758
Br8 0.718 0.718 0.758
Br9 0.782 0.218 0.258
Br10 0.782 0.782 0.258


No. 11
Starting from a crystal structure in Alexandria, relaxed with GGA-PBE, the XRD peak list of Nb4WN was computed for λ = 1.5418 Å (Cu Kα).

Most intense lines, 2θ from 15° to 90°, most intense first:
- d 2.464, 2θ = 36.46°, I 100
- d 3.337, 2θ = 26.71°, I 65
- d 3.823, 2θ = 23.27°, I 47
- d 2.549, 2θ = 35.21°, I 47
- d 2.323, 2θ = 38.77°, I 43
- d 1.841, 2θ = 49.51°, I 37

Cell and atoms:
Cell: 6.842 4.797 6.328 Å, 90.00 90.00 90.00°
Fractional positions:
Nb1 0.132 0.246 0.000
Nb2 0.132 0.254 0.500
Nb3 0.250 0.704 0.251
Nb4 0.250 0.796 0.751
Nb5 0.750 0.204 0.751
Nb6 0.750 0.296 0.251
Nb7 0.868 0.746 0.500
Nb8 0.868 0.754 0.000
W1 0.500 0.000 0.049
W2 0.500 0.500 0.549
N1 0.000 0.000 0.250
N2 0.000 0.500 0.750


No. 12
Starting from a crystal structure in Alexandria, relaxed with GGA-PBE, the XRD peak list of Pm6CoAg was computed for λ = 1.5418 Å (Cu Kα).

Most intense lines, 2θ from 15° to 90°, most intense first:
- d 2.800, 2θ = 31.96°, I 100
- d 2.567, 2θ = 34.95°, I 50
- d 1.523, 2θ = 60.81°, I 31
- d 1.815, 2θ = 50.27°, I 18
- d 3.356, 2θ = 26.56°, I 17
- d 1.932, 2θ = 47.04°, I 15

Cell and atoms:
Cell: 5.134 5.134 17.605 Å, 90.00 90.00 90.00°
Fractional positions:
Pm1 0.000 0.000 0.249
Pm2 0.000 0.000 0.751
Pm3 0.000 0.500 0.099
Pm4 0.000 0.500 0.401
Pm5 0.000 0.500 0.599
Pm6 0.000 0.500 0.901
Pm7 0.500 0.000 0.099
Pm8 0.500 0.000 0.401
Pm9 0.500 0.000 0.599
Pm10 0.500 0.000 0.901
Pm11 0.500 0.500 0.251
Pm12 0.500 0.500 0.749
Co1 0.000 0.000 0.000
Co2 0.500 0.500 0.500
Ag1 0.000 0.000 0.500
Ag2 0.500 0.500 0.000